This entry pairs a crystal structure of RbAgPdSe2 with its simulated XRD peak list. Radiation: Cu Ka. Structure: a structure optimized by DFT (GGA-PBE).
Neutral-atom scattering factors, no anomalous dispersion.

Principal peaks in the range 10 to 80 degrees two-theta, in order of rising 2θ:
| d (Å) | 2θ/deg | Rel. int. | hkl |
| --- | --- | --- | --- |
| 7.321 | 12.09 | 98 | 0 2 0 |
| 3.212 | 27.77 | 100 | 1 3 1 |
| 2.705 | 33.12 | 65 | 0 2 2 |
| 2.583 | 34.73 | 52 | 2 2 1 |
| 2.204 | 40.95 | 80 | 2 4 1 |
| 1.829 | 49.85 | 48 | 0 8 0 |

Cell and atoms:
Cell lengths 6.270, 14.643, 5.822 Å; angles 90.00, 90.00, 90.00 degrees
Space group Cmme (No. 67)
Asymmetric unit:
Rb 0.000 0.250 0.214
Ag 0.000 0.000 0.000
Pd 0.250 0.000 0.500
Se 0.000 0.117 0.681


This entry pairs a crystal structure of AgPd6Rh with its simulated XRD peak list. Radiation: Cu Ka. Structure: a structure optimized by DFT (GGA-PBE).
Neutral-atom scattering factors, no anomalous dispersion.

Principal peaks in the range 10 to 80 degrees two-theta, in order of rising 2θ:
| d (Å) | 2θ/deg | Rel. int. | hkl |
| --- | --- | --- | --- |
| 2.287 | 39.41 | 100 | 1 1 2 |
| 1.980 | 45.82 | 48 | 2 0 0 |
| 1.400 | 66.81 | 30 | 2 2 0 |

Cell and atoms:
Cell lengths 3.962, 3.962, 7.915 Å; angles 90.00, 90.00, 90.00 degrees
Space group P4/mmm (No. 123)
Asymmetric unit:
Ag 0.000 0.000 0.000
Pd 0.000 0.500 0.256
Pd 0.500 0.500 0.000
Pd 0.500 0.500 0.500
Rh 0.000 0.000 0.500


This entry pairs a crystal structure of Sc4AgPdRh2 with its simulated XRD peak list. Radiation: Cu Ka. Structure: a structure optimized by DFT (GGA-PBE).
Neutral-atom scattering factors, no anomalous dispersion.

Principal peaks in the range 10 to 80 degrees two-theta, in order of rising 2θ:
| d (Å) | 2θ/deg | Rel. int. | hkl |
| --- | --- | --- | --- |
| 3.299 | 27.02 | 22 | 1 0 4 |
| 2.333 | 38.59 | 100 | 1 1 0 |
| 1.906 | 47.71 | 5 | 0 2 4 |
| 1.650 | 55.72 | 16 | 2 0 8 |
| 1.348 | 69.78 | 24 | 3 0 0 |
| 1.345 | 69.95 | 8 | 1 0 16 |

Cell and atoms:
Cell lengths 4.6705, 4.6705, 22.8160 Å; angles 90.00, 90.00, 120.00 degrees
Space group R-3m (No. 166, hexagonal axes)
Asymmetric unit:
Sc 0.0000 0.0000 0.1228
Sc 0.0000 0.0000 0.3730
Ag 0.0000 0.0000 0.5000
Pd 0.0000 0.0000 0.0000
Rh 0.0000 0.0000 0.2501